[1]
# CsMgO3
Simulated powder diffraction line list, Cu Ka. Input: the PBE geometry in the Materials Project.
Neutral-atom scattering factors, no anomalous dispersion.

Principal peaks in the range 2θ = 15–90°, low angle first:
- 20.69 deg, I = 45, (1 0 0)
- 29.43 deg, I = 100, (1 1 0)
- 36.25 deg, I = 47, (1 1 1)
- 42.10 deg, I = 40, (2 0 0)
- 47.36 deg, I = 22, (2 1 0)
- 52.20 deg, I = 41, (2 1 1)
- 61.06 deg, I = 24, (2 2 0)
- 84.44 deg, I = 22, (3 2 1)

Atomic structure:
Lattice parameters (Å, degrees): 4.292 4.292 4.292 90.00 90.00 90.00
Sites, in units of the cell vectors:
Cs: 0.000 0.000 0.000
Mg: 0.500 0.500 0.500
O: 0.000 0.500 0.500
O: 0.500 0.000 0.500
O: 0.500 0.500 0.000

---

[2]
# CsMgSbP2O8
Simulated powder diffraction line list, Cu Ka. Input: the PBE geometry in the Materials Project.
Neutral-atom scattering factors, no anomalous dispersion.

Principal peaks in the range 2θ = 15–90°, low angle first:
- 19.04 deg, I = 62, (1 1 0)
- 21.31 deg, I = 20, (0 1 1)
- 27.02 deg, I = 100, (1 0 2)
- 33.33 deg, I = 41, (1 2 0)
- 38.64 deg, I = 33, (2 1 -2)
- 43.30 deg, I = 26, (1 1 -4)
- 43.42 deg, I = 26, (2 2 2)
- 55.76 deg, I = 22, (-1 2 2)

Atomic structure:
Lattice parameters (Å, degrees): 5.376 5.377 9.352 89.98 89.98 60.02
Sites, in units of the cell vectors:
Cs: 0.000 0.000 0.000
Mg: 0.333 0.334 0.398
Sb: 0.000 0.000 0.512
P: 0.334 0.333 0.700
P: 0.667 0.667 0.283
O: 0.102 0.274 0.626
O: 0.276 0.624 0.627
O: 0.332 0.334 0.859
O: 0.411 0.952 0.348
O: 0.626 0.101 0.628
O: 0.637 0.411 0.348
O: 0.666 0.667 0.123
O: 0.952 0.637 0.347